Record 1
For BaAcCu2Ge2, a structure optimized by DFT (PBE) gives the computed PXRD pattern in this record (Cu Kα (weighted mean of Kα1 and Kα2)).

Principal peaks in the range 2θ from 5° to 70°, by angle:
2θ (°)	d/Å	Rel. int.	index
9.5	9.320	12	0 0 1
23.6	3.770	16	1 0 0
25.5	3.495	4	0 1 1
30.5	2.931	100	0 1 2
37.5	2.397	4	1 0 3
38.6	2.330	14	0 0 4
41.5	2.177	36	1 1 0
45.8	1.982	6	1 0 4
52.4	1.747	22	2 0 2
58.0	1.591	25	1 1 4
64.9	1.436	11	0 1 6
68.9	1.363	19	1 2 2

Structural model:
Unit cell a=4.3530 b=4.3530 c=9.3200 alpha=90.00 beta=90.00 gamma=120.00
Space group P-3m1 (No. 164)
Asymmetric unit:
Ba 0.0000 0.0000 0.0000 x1
Ac 0.0000 0.0000 0.5000 x1
Cu 0.3333 0.6667 0.2645 x2
Ge 0.3333 0.6667 0.7357 x2

Record 2
For Tl4SnSe5, a structure optimized by DFT (PBE) gives the computed PXRD pattern in this record (Cu Kα (weighted mean of Kα1 and Kα2)).

Principal peaks in the range 2θ from 5° to 70°, by angle:
2θ (°)	d/Å	Rel. int.	index
25.1	3.543	52	1 2 1
27.6	3.230	60	0 0 2
29.8	2.996	100	3 1 0
41.1	2.196	81	3 1 2
42.7	2.118	36	2 4 0
47.4	1.920	11	1 2 3
50.2	1.818	19	4 3 1
51.6	1.771	40	2 4 2
57.0	1.615	7	0 0 4
62.0	1.498	11	6 2 0
65.7	1.422	27	3 1 4
69.1	1.359	15	6 2 2

Structural model:
Unit cell a=9.4728 b=9.4728 c=6.4599 alpha=90.00 beta=90.00 gamma=90.00
Space group I4 (No. 79)
Asymmetric unit:
Tl 0.0907 0.6923 0.0000 x8
Sn 0.0000 0.0000 0.5511 x2
Se 0.0000 0.0000 0.9640 x2
Se 0.1001 0.7263 0.4890 x8

Record 3
For KRe, a structure optimized by DFT (PBE) gives the computed PXRD pattern in this record (Cu Kα (weighted mean of Kα1 and Kα2)).

Principal peaks in the range 2θ from 5° to 70°, by angle:
2θ (°)	d/Å	Rel. int.	index
7.7	11.418	100	0 0 1
15.5	5.709	13	0 0 2
23.4	3.806	5	0 0 3
25.8	3.451	4	0 1 3
33.2	2.695	4	0 1 4
34.8	2.576	6	1 2 2
39.2	2.300	4	1 2 3
39.8	2.266	3	1 3 0
40.6	2.223	10	1 3 1
42.9	2.107	7	1 3 2
45.3	2.003	3	2 0 1
51.0	1.791	4	1 2 5

Structural model:
Unit cell a=4.0693 b=8.1868 c=11.4184 alpha=90.00 beta=90.00 gamma=90.00
Space group Pmmn (No. 59, origin choice 2)
Asymmetric unit:
K 0.2500 0.0621 0.1657 x4
K 0.2500 0.7500 0.3033 x2
Re 0.2500 0.2500 0.4598 x2
Re 0.2500 0.5648 0.5545 x4

Record 4
For HPd4Au2, a structure optimized by DFT (PBE) gives the computed PXRD pattern in this record (Cu Kα (weighted mean of Kα1 and Kα2)).

Principal peaks in the range 2θ from 5° to 70°, by angle:
2θ (°)	d/Å	Rel. int.	index
6.2	14.327	22	0 0 1
12.4	7.163	5	0 0 2
18.6	4.776	8	0 0 3
36.3	2.476	20	2 0 0
36.8	2.440	13	1 1 -1
37.7	2.388	32	0 0 6
38.5	2.340	11	2 0 2
41.1	2.198	100	1 1 -3
44.5	2.037	9	2 0 -4
48.6	1.873	5	1 1 5
53.3	1.719	13	2 0 -6
65.3	1.429	19	3 1 0

Structural model:
Unit cell a=4.9518 b=2.8584 c=14.3270 alpha=90.00 beta=90.05 gamma=90.00
Space group Cm (No. 8)
Asymmetric unit:
H 0.0000 0.0000 0.0000 x2
Pd 0.0032 0.0000 0.8786 x2
Pd 0.1673 0.5000 0.0577 x2
Pd 0.3360 0.0000 0.3894 x2
Pd 0.3360 0.0000 0.7196 x2
Au 0.0018 0.0000 0.2254 x2
Au 0.0029 0.0000 0.5548 x2

Record 5
For Cu2AsClO4, a structure optimized by DFT (PBE) gives the computed PXRD pattern in this record (Cu Kα (weighted mean of Kα1 and Kα2)).

Principal peaks in the range 2θ from 5° to 70°, by angle:
2θ (°)	d/Å	Rel. int.	index
13.7	6.455	80	0 0 1
20.9	4.245	66	1 0 -1
26.3	3.383	30	0 2 0
27.6	3.227	24	0 0 2
31.3	2.861	100	1 2 0
31.5	2.838	37	1 0 -2
33.2	2.698	31	1 0 2
37.0	2.428	32	2 0 1
38.6	2.335	58	0 2 2
44.8	2.025	39	2 2 -1
53.0	1.726	33	2 0 -3
54.2	1.692	25	0 4 0

Structural model:
Unit cell a=5.3712 b=6.7669 c=6.4654 alpha=90.00 beta=93.27 gamma=90.00
Space group P2_1/m (No. 11)
Asymmetric unit:
Cu 0.0000 0.0000 0.0000 x2
Cu 0.3867 0.2500 0.2434 x2
As 0.4598 0.7500 0.2426 x2
Cl 0.1538 0.7500 0.7836 x2
O 0.2645 0.5431 0.2196 x4
O 0.3166 0.2500 0.9425 x2
O 0.3608 0.2500 0.5338 x2

Record 6
For Tb2Te5Pd4, a structure optimized by DFT (PBE) gives the computed PXRD pattern in this record (Cu Kα (weighted mean of Kα1 and Kα2)).

Principal peaks in the range 2θ from 5° to 70°, by angle:
2θ (°)	d/Å	Rel. int.	index
15.3	5.805	21	0 0 9
23.4	3.808	27	1 0 1
24.3	3.665	21	1 0 4
27.0	3.296	39	0 1 8
30.0	2.976	65	0 1 11
36.2	2.482	53	1 0 16
40.9	2.205	100	1 1 0
41.9	2.156	23	0 1 20
45.0	2.017	23	1 0 22
51.6	1.772	14	2 0 11
55.8	1.648	15	0 2 16
64.0	1.454	16	1 1 27

Structural model:
Unit cell a=4.4094 b=4.4094 c=52.2456 alpha=90.00 beta=90.00 gamma=120.00
Space group R-3m (No. 166, hexagonal axes)
Asymmetric unit:
Tb 0.0000 0.0000 0.1290 x6
Te 0.0000 0.0000 0.2361 x6
Te 0.0000 0.0000 0.3681 x6
Te 0.0000 0.0000 0.5000 x3
Pd 0.0000 0.0000 0.3172 x6
Pd 0.0000 0.0000 0.4215 x6

Record 7
For La3Sm2Y6Pu, a structure optimized by DFT (PBE) gives the computed PXRD pattern in this record (Cu Kα (weighted mean of Kα1 and Kα2)).

Principal peaks in the range 2θ from 5° to 70°, by angle:
2θ (°)	d/Å	Rel. int.	index
15.2	5.836	11	0 0 2
28.9	3.085	8	2 0 0
30.3	2.951	100	1 3 1
30.6	2.918	32	0 0 4
35.2	2.548	66	2 0 2
50.4	1.810	24	0 6 0
50.9	1.794	23	1 3 5
60.0	1.543	14	4 0 0
60.2	1.538	9	0 6 4
60.2	1.538	18	3 3 3
60.6	1.528	13	2 0 6
63.0	1.475	12	2 6 2

Structural model:
Unit cell a=6.2662 b=10.8609 c=11.8584 alpha=90.00 beta=100.17 gamma=90.00
Space group C2/m (No. 12)
Asymmetric unit:
La 0.0000 0.0000 0.0000 x2
La 0.0000 0.3326 0.0000 x4
Sm 0.0000 0.1666 0.5000 x4
Y 0.2455 0.3355 0.7442 x8
Y 0.2480 0.5000 0.2556 x4
Pu 0.0000 0.5000 0.5000 x2

Record 8
For Tb5DyHo5, a structure optimized by DFT (PBE) gives the computed PXRD pattern in this record (Cu Kα (weighted mean of Kα1 and Kα2)).

Principal peaks in the range 2θ from 5° to 70°, by angle:
2θ (°)	d/Å	Rel. int.	index
30.5	2.935	11	1 2 2
31.8	2.815	100	2 0 -1
32.3	2.770	99	2 2 1
32.5	2.759	16	1 2 -1
32.9	2.726	51	2 0 2
34.0	2.639	43	0 0 3
34.1	2.627	16	1 -2 0
44.7	2.028	15	2 -2 0
46.4	1.957	11	2 2 -2
48.8	1.868	16	2 2 4
56.6	1.625	9	4 0 1
57.0	1.615	17	4 2 0

Structural model:
Unit cell a=6.8264 b=6.9157 c=8.2750 alpha=76.06 beta=76.80 gamma=72.37
Space group P-1 (No. 2)
Asymmetric unit:
Tb 0.0000 0.0000 0.0000 x1
Tb 0.1551 0.1335 0.3580 x2
Tb 0.3230 0.2701 0.6538 x2
Dy 0.0000 0.5000 0.0000 x1
Ho 0.2106 0.6394 0.3108 x2
Ho 0.3534 0.7492 0.7205 x2
Ho 0.5000 0.0000 0.0000 x1

Record 9
For ErAgS2, a structure optimized by DFT (PBE) gives the computed PXRD pattern in this record (Cu Kα (weighted mean of Kα1 and Kα2)).

Principal peaks in the range 2θ from 5° to 70°, by angle:
2θ (°)	d/Å	Rel. int.	index
18.0	4.916	16	1 0 1
27.7	3.219	100	1 1 2
29.7	3.013	38	0 0 4
33.3	2.692	78	2 0 0
41.0	2.200	17	1 0 5
45.2	2.008	46	2 0 4
47.8	1.904	27	2 2 0
51.4	1.776	12	1 1 6
53.8	1.704	15	2 1 5
56.1	1.639	32	3 1 2
57.2	1.609	22	2 2 4
69.9	1.346	9	4 0 0

Structural model:
Unit cell a=5.3850 b=5.3850 c=12.0507 alpha=90.00 beta=90.00 gamma=90.00
Space group I4_1md (No. 109)
Asymmetric unit:
Er 0.0000 0.0000 0.0000 x4
Ag 0.0000 0.0000 0.4568 x4
S 0.0000 0.0000 0.2290 x4
S 0.0000 0.0000 0.7762 x4

Record 10
For ZnSnN2, a structure optimized by DFT (PBE) gives the computed PXRD pattern in this record (Cu Kα (weighted mean of Kα1 and Kα2)).

Principal peaks in the range 2θ from 5° to 70°, by angle:
2θ (°)	d/Å	Rel. int.	index
19.9	4.464	5	1 1 0
20.7	4.299	6	0 1 1
30.3	2.952	38	1 2 0
32.3	2.771	33	0 0 2
34.4	2.606	100	2 0 1
44.9	2.020	20	1 2 2
53.7	1.706	19	3 2 0
53.8	1.703	9	0 4 0
59.0	1.566	30	2 0 3
64.1	1.452	27	0 4 2
65.4	1.428	5	4 0 1
65.5	1.426	11	2 4 1

Structural model:
Unit cell a=5.9113 b=6.8113 c=5.5414 alpha=90.00 beta=90.00 gamma=90.00
Space group Pna2_1 (No. 33)
Asymmetric unit:
Zn 0.0828 0.1250 0.0000 x4
Sn 0.0874 0.6250 0.0004 x4
N 0.0805 0.1243 0.3749 x4
N 0.0824 0.6256 0.3791 x4

Record 11
For Ba3CdB2O6, a structure optimized by DFT (PBE) gives the computed PXRD pattern in this record (Cu Kα (weighted mean of Kα1 and Kα2)).

Principal peaks in the range 2θ from 5° to 70°, by angle:
2θ (°)	d/Å	Rel. int.	index
18.3	4.840	9	1 0 0
20.7	4.285	36	1 0 1
26.7	3.337	100	0 1 2
32.0	2.794	51	1 1 0
34.6	2.594	11	1 0 3
38.5	2.341	21	0 2 1
39.1	2.304	12	0 0 4
42.2	2.143	34	2 0 2
50.9	1.794	10	2 1 1
51.4	1.778	25	1 1 4
53.9	1.700	23	1 2 2
57.1	1.613	9	3 0 0

Structural model:
Unit cell a=5.5887 b=5.5887 c=9.2166 alpha=90.00 beta=90.00 gamma=120.00
Space group P-3m1 (No. 164)
Asymmetric unit:
Ba 0.0000 0.0000 0.0000 x1
Ba 0.3333 0.6667 0.7357 x2
Cd 0.0000 0.0000 0.5000 x1
B 0.3333 0.6667 0.2063 x2
O 0.1898 0.3796 0.2063 x6

Record 12
For Nd4Cu2Rh, a structure optimized by DFT (PBE) gives the computed PXRD pattern in this record (Cu Kα (weighted mean of Kα1 and Kα2)).

Principal peaks in the range 2θ from 5° to 70°, by angle:
2θ (°)	d/Å	Rel. int.	index
27.4	3.251	32	1 0 2
30.8	2.900	92	1 2 0
31.2	2.866	38	2 0 0
33.1	2.710	100	0 2 2
34.0	2.637	39	2 1 0
34.7	2.582	47	1 2 -2
35.7	2.513	25	2 1 -2
39.0	2.307	24	1 0 -4
47.0	1.932	21	2 1 -4
53.0	1.728	18	2 2 -4
54.6	1.681	20	0 4 0
55.2	1.665	18	3 2 -2

Structural model:
Unit cell a=5.8730 b=6.7239 c=9.3890 alpha=90.00 beta=102.55 gamma=90.00
Space group P2_1/m (No. 11)
Asymmetric unit:
Nd 0.0343 0.0199 0.2541 x4
Nd 0.3955 0.2500 0.0222 x2
Nd 0.4237 0.2500 0.5963 x2
Cu 0.1140 0.7500 0.5048 x2
Cu 0.1430 0.7500 0.0310 x2
Rh 0.4934 0.2500 0.3159 x2

Record 13
For Rb3Sn7Au2, a structure optimized by DFT (PBE) gives the computed PXRD pattern in this record (Cu Kα (weighted mean of Kα1 and Kα2)).

Principal peaks in the range 2θ from 5° to 70°, by angle:
2θ (°)	d/Å	Rel. int.	index
13.0	6.797	46	0 0 2
16.3	5.452	32	1 0 1
19.7	4.502	30	0 1 0
25.7	3.472	44	1 1 1
27.9	3.194	36	0 1 3
31.8	2.816	28	2 0 -3
32.9	2.723	100	2 0 2
34.3	2.613	87	1 1 -4
37.7	2.387	41	2 1 -3
38.7	2.329	46	0 1 5
40.1	2.251	52	0 2 0
52.8	1.735	53	2 2 2

Structural model:
Unit cell a=6.4410 b=4.5020 c=13.7564 alpha=90.00 beta=98.82 gamma=90.00
Space group P2/m (No. 10)
Asymmetric unit:
Rb 0.0000 0.0000 0.0000 x1
Rb 0.3599 0.0000 0.6113 x2
Sn 0.1262 0.5000 0.4051 x2
Sn 0.1288 0.0000 0.2541 x2
Sn 0.1937 0.5000 0.8020 x2
Sn 0.5000 0.5000 0.0000 x1
Au 0.3568 0.5000 0.1884 x2